This entry pairs a crystal structure of Cd5Pd3 with its simulated X-ray powder pattern. Radiation: Cu Kα. Structure: a cell relaxed with PBE.
Neutral-atom scattering factors, no anomalous dispersion.

Crystal structure
```
data_Cd5Pd3
_space_group_name_H-M_alt 'P 1'
_space_group_IT_number 1
_cell_length_a 7.344
_cell_length_b 6.912
_cell_length_c 4.939
_cell_angle_alpha 74.50
_cell_angle_beta 65.10
_cell_angle_gamma 40.40
loop_
_space_group_symop_operation_xyz
'x,y,z'
loop_
_atom_site_label
_atom_site_type_symbol
_atom_site_fract_x
_atom_site_fract_y
_atom_site_fract_z
Cd1 Cd 0.000 0.000 0.000
Cd2 Cd 0.130 0.130 0.370
Cd3 Cd 0.370 0.370 0.130
Cd4 Cd 0.630 0.630 0.870
Cd5 Cd 0.870 0.870 0.630
Pd1 Pd 0.248 0.248 0.752
Pd2 Pd 0.500 0.500 0.500
Pd3 Pd 0.752 0.752 0.248
```

Top 10 peaks for 2θ from 10° to 90°, most intense first:
| 2θ/deg | Rel. int. |
| --- | --- |
| 36.95 | 100.0 |
| 37.64 | 95.8 |
| 41.69 | 70.8 |
| 64.19 | 37.6 |
| 46.48 | 25.9 |
| 72.55 | 25.3 |
| 73.86 | 24.7 |
| 59.47 | 11.6 |
| 61.39 | 10.9 |
| 78.66 | 10.1 |